Diffraction record for DyTiFe11N. The powder X-ray diffraction pattern is theoretical, not measured: it uses a DFT-relaxed cell (PBE, the Materials Project) and Cu Kα (weighted mean of Kα1 and Kα2).
Intensities are scaled so that the largest is 100.

Atomic structure:
```
DyTiFe11N
1.0
-2.402 4.307 4.275
2.402 -4.307 4.275
2.402 4.307 -4.275
Dy Ti Fe N
1 1 11 1
Direct
0.000 0.000 0.000
0.627 0.627 0.000
0.213 0.490 0.723
0.219 0.719 0.500
0.350 0.350 0.000
0.352 0.993 0.359
0.491 0.493 0.497
0.491 0.994 0.998
0.633 0.993 0.641
0.768 0.490 0.277
0.770 0.270 0.500
0.996 0.493 0.002
0.996 0.994 0.503
0.994 0.494 0.500
```

Principal peaks in the range 10 to 90 degrees two-theta, sorted by position:
d/Å  2θ (°)  I (rel.)
2.999  29.8  42
2.464  36.5  26
2.451  36.7  25
2.153  42.0  37
2.136  42.3  100
2.130  42.4  54
2.096  43.2  91
1.883  48.3  26

---

Diffraction record for NbSe2. The powder X-ray diffraction pattern is theoretical, not measured: it uses a DFT-relaxed cell (PBE, the Materials Project) and Cu Kα (weighted mean of Kα1 and Kα2).
Intensities are scaled so that the largest is 100.

Atomic structure:
```
NbSe2
1.0
3.470 0.000 0.000
-1.735 3.005 0.000
0.000 0.000 26.572
Nb Se
4 8
Direct
0.000 0.000 0.000
0.000 0.000 0.250
0.000 0.000 0.750
0.333 0.667 0.500
0.000 0.000 0.436
0.000 0.000 0.564
0.333 0.667 0.186
0.333 0.667 0.814
0.667 0.333 0.064
0.667 0.333 0.313
0.667 0.333 0.687
0.667 0.333 0.936
```

Principal peaks in the range 10 to 90 degrees two-theta, sorted by position:
d/Å  2θ (°)  I (rel.)
6.643  13.3  100
2.846  31.4  89
2.616  34.3  51
2.487  36.1  54
2.356  38.2  44
2.229  40.5  42
1.735  52.8  67
1.200  80.0  39

---

Please write out number 1 again, unchanged.
Diffraction record for DyTiFe11N. The powder X-ray diffraction pattern is theoretical, not measured: it uses a DFT-relaxed cell (PBE, the Materials Project) and Cu Kα (weighted mean of Kα1 and Kα2).
Intensities are scaled so that the largest is 100.

Atomic structure:
```
DyTiFe11N
1.0
-2.402 4.307 4.275
2.402 -4.307 4.275
2.402 4.307 -4.275
Dy Ti Fe N
1 1 11 1
Direct
0.000 0.000 0.000
0.627 0.627 0.000
0.213 0.490 0.723
0.219 0.719 0.500
0.350 0.350 0.000
0.352 0.993 0.359
0.491 0.493 0.497
0.491 0.994 0.998
0.633 0.993 0.641
0.768 0.490 0.277
0.770 0.270 0.500
0.996 0.493 0.002
0.996 0.994 0.503
0.994 0.494 0.500
```

Principal peaks in the range 10 to 90 degrees two-theta, sorted by position:
d/Å  2θ (°)  I (rel.)
2.999  29.8  42
2.464  36.5  26
2.451  36.7  25
2.153  42.0  37
2.136  42.3  100
2.130  42.4  54
2.096  43.2  91
1.883  48.3  26